1.
Starting from a structure optimized by DFT (PBE), the powder XRD pattern of AlZnGa was simulated for Cu Ka.
Peak positions follow from Bragg's law for the DFT cell and can differ from measured ones.

Crystal structure
```
data_AlZnGa
_chemical_formula_sum 'Al2 Zn2 Ga2'
_space_group_name_H-M_alt 'P -1'
_space_group_IT_number 2
_cell_length_a 2.932
_cell_length_b 4.903
_cell_length_c 7.456
_cell_angle_alpha 108.46
_cell_angle_beta 100.38
_cell_angle_gamma 90.27
loop_
_space_group_symop_operation_xyz
'x,y,z'
'-x,-y,-z'
loop_
_atom_site_label
_atom_site_fract_x
_atom_site_fract_y
_atom_site_fract_z
Al1 0.166 0.496 0.330
Zn1 0.000 0.000 0.000
Zn2 0.500 0.500 0.000
Ga1 0.334 0.002 0.672
```

Main lines, most intense first (2θ = 5–70°):
| 2theta | d/Å | I (rel.) |
| --- | --- | --- |
| 37.87 | 2.376 | 100 |
| 38.37 | 2.346 | 95 |
| 38.81 | 2.320 | 92 |
| 38.93 | 2.314 | 91 |
| 44.10 | 2.054 | 63 |
| 44.58 | 2.033 | 62 |
| 45.56 | 1.991 | 57 |
| 19.13 | 4.641 | 38 |

2.
Starting from a structure optimized by DFT (PBE), the powder XRD pattern of AlZn4Ga5 was simulated for Cu Ka.
Peak positions follow from Bragg's law for the DFT cell and can differ from measured ones.

Crystal structure
```
data_AlZn4Ga5
_chemical_formula_sum 'Al1 Zn4 Ga5'
_space_group_name_H-M_alt 'P -1'
_space_group_IT_number 2
_cell_length_a 4.485
_cell_length_b 5.454
_cell_length_c 7.941
_cell_angle_alpha 75.74
_cell_angle_beta 88.75
_cell_angle_gamma 75.35
loop_
_space_group_symop_operation_xyz
'x,y,z'
'-x,-y,-z'
loop_
_atom_site_label
_atom_site_fract_x
_atom_site_fract_y
_atom_site_fract_z
Al1 0.000 0.000 0.000
Zn1 0.425 0.608 0.202
Zn2 0.471 0.130 0.151
Ga1 0.000 0.500 0.000
Ga2 0.126 0.285 0.647
Ga3 0.314 0.806 0.538
```

Main lines, most intense first (2θ = 5–70°):
| 2theta | d/Å | I (rel.) |
| --- | --- | --- |
| 38.45 | 2.341 | 100 |
| 41.70 | 2.166 | 82 |
| 39.85 | 2.262 | 76 |
| 30.41 | 2.940 | 71 |
| 34.99 | 2.565 | 48 |
| 44.52 | 2.035 | 48 |
| 43.89 | 2.063 | 45 |
| 27.56 | 3.237 | 28 |